The following is a computed XRD peak list of Ba2YCl7. It was derived from a cell relaxed with GGA-PBE, using Cu Kα, 1.54184 Å.

Crystal structure
```
40
Lattice="6.9295 0.0000 0.0000 0.0000 15.7508 0.0000 -0.1351 0.0000 10.6625" Properties=species:S:1:pos:R:3 pbc="T T T"
Ba 1.5791 0.9576 3.4509
Ba 1.5116 6.9178 8.7822
Ba 1.5648 11.3435 4.8079
Ba 1.4973 12.2827 10.1392
Ba 5.2971 3.4681 0.5233
Ba 5.2296 4.4073 5.8546
Ba 5.2829 8.8330 1.8803
Ba 5.2154 14.7933 7.2116
Y 1.8538 1.9985 8.3381
Y 1.9213 5.8769 3.0069
Y 4.8731 9.8740 7.6556
Y 4.9406 13.7523 2.3244
Cl 0.0388 3.8235 3.2184
Cl -0.0288 4.0519 8.5496
Cl 0.0115 1.6513 6.2485
Cl 0.0790 6.2242 0.9173
Cl 1.3819 8.5074 3.0598
Cl 1.3143 15.1189 8.3911
Cl 1.4431 2.2012 0.2998
Cl 1.3755 5.6743 5.6311
Cl 2.4867 8.9914 6.6523
Cl 2.5543 14.6348 1.3210
Cl 3.4164 3.5876 3.1424
Cl 3.3489 4.2878 8.4737
Cl 3.3881 1.6437 6.0926
Cl 3.4557 6.2317 0.7614
Cl 3.3388 9.5191 9.9011
Cl 3.4063 14.1071 4.5699
Cl 3.4455 11.4631 2.1888
Cl 3.3780 12.1632 7.5201
Cl 4.2402 1.1160 9.3415
Cl 4.3077 6.7594 4.0102
Cl 5.4189 10.0766 5.0314
Cl 5.3514 13.5497 10.3627
Cl 5.4801 0.6319 2.2715
Cl 5.4126 7.2435 7.6027
Cl 6.7154 9.5267 9.7452
Cl 6.7830 14.0996 4.4140
Cl 6.8232 11.6990 2.1129
Cl 6.7557 11.9273 7.4441
```

Most intense lines, 2θ from 10° to 80°, by angle:
2θ 18.88, I 261; 2θ 21.21, I 1000; 2θ 21.65, I 368; 2θ 25.71, I 278; 2θ 33.03, I 325; 2θ 34.12, I 491; 2θ 35.19, I 400; 2θ 35.47, I 412; 2θ 37.79, I 257; 2θ 42.82, I 333

=====

The following is a computed XRD peak list of BaZnCl4. It was derived from a cell relaxed with GGA-PBE, using Cu Kα, 1.54184 Å.

Crystal structure
```
24
Lattice="7.3197 0.0000 0.0000 0.0000 10.1422 0.0000 0.0000 0.0000 9.7325" Properties=species:S:1:pos:R:3 pbc="T T T"
Ba 1.3313 2.5355 2.4331
Ba 2.3285 7.6066 2.4331
Ba 4.9912 2.5355 7.2993
Ba 5.9884 7.6066 7.2993
Zn 1.8299 0.0000 6.5646
Zn 1.8299 5.0711 8.0341
Zn 5.4898 0.0000 3.1679
Zn 5.4898 5.0711 1.6983
Cl 0.0450 5.4199 2.9927
Cl 0.0450 9.7934 1.8736
Cl 1.2058 6.9249 9.2258
Cl 1.2058 8.2884 5.3729
Cl 2.4540 1.8538 5.3729
Cl 2.4540 3.2173 9.2258
Cl 3.6149 0.3488 1.8736
Cl 3.6149 4.7223 2.9927
Cl 3.7048 5.4199 6.7398
Cl 3.7048 9.7934 7.8589
Cl 4.8657 6.9249 0.5067
Cl 4.8657 8.2884 4.3595
Cl 6.1139 1.8538 4.3595
Cl 6.1139 3.2173 0.5067
Cl 7.2748 0.3488 7.8589
Cl 7.2748 4.7223 6.7398
```

Most intense lines, 2θ from 10° to 80°, by angle:
2θ 17.50, I 207; 2θ 18.23, I 459; 2θ 23.21, I 1000; 2θ 23.64, I 201; 2θ 30.13, I 347; 2θ 31.84, I 335; 2θ 35.05, I 328; 2θ 35.41, I 242; 2θ 39.08, I 235; 2θ 40.10, I 212

=====

The following is a computed XRD peak list of BaZnCl4. It was derived from a cell relaxed with GGA-PBE, using Cu Kα, 1.54184 Å.

Crystal structure
```
24
Lattice="6.5937 0.0000 0.0000 0.0000 15.5973 0.0000 0.0000 0.0000 6.9424" Properties=species:S:1:pos:R:3 pbc="T T T"
Ba 0.0000 2.0133 1.7356
Ba 0.0000 13.5840 5.2068
Ba 3.2969 5.7854 5.2068
Ba 3.2969 9.8119 1.7356
Zn 0.0000 6.0918 1.7356
Zn 0.0000 9.5055 5.2068
Zn 3.2969 1.7069 5.2068
Zn 3.2969 13.8904 1.7356
Cl 0.9639 4.6772 0.1830
Cl 0.9639 10.9201 3.6542
Cl 1.6212 0.5866 6.2972
Cl 1.6212 15.0107 2.8260
Cl 1.6757 7.2120 2.8260
Cl 1.6757 8.3853 6.2972
Cl 2.3329 3.1215 3.6542
Cl 2.3329 12.4758 0.1830
Cl 4.2608 3.1215 6.7594
Cl 4.2608 12.4758 3.2882
Cl 4.9181 7.2120 0.6452
Cl 4.9181 8.3853 4.1163
Cl 4.9725 0.5866 4.1163
Cl 4.9725 15.0107 0.6452
Cl 5.6298 4.6772 3.2882
Cl 5.6298 10.9201 6.7594
```

Most intense lines, 2θ from 10° to 80°, by angle:
2θ 19.42, I 1000; 2θ 22.81, I 129; 2θ 25.31, I 498; 2θ 29.58, I 213; 2θ 34.33, I 173; 2θ 34.60, I 294; 2θ 35.66, I 293; 2θ 37.63, I 260; 2θ 44.45, I 166; 2θ 45.03, I 131

=====

The following is a computed XRD peak list of BaCo2Ge2. It was derived from a cell relaxed with GGA-PBE, using Cu Kα, 1.54184 Å.

Crystal structure
```
5
Lattice="-2.0113 2.0113 6.1770 2.0113 -2.0113 6.1770 2.0113 2.0113 -6.1770" Properties=species:S:1:pos:R:3 pbc="T T T"
Ba 0.0000 0.0000 0.0000
Co 2.0113 0.0000 3.0885
Co 0.0000 2.0113 3.0885
Ge 0.0000 0.0000 4.2773
Ge 0.0000 0.0000 8.0766
```

Most intense lines, 2θ from 10° to 80°, by angle:
2θ 28.91, I 81; 2θ 31.08, I 1000; 2θ 31.45, I 155; 2θ 34.72, I 395; 2θ 45.08, I 376; 2θ 55.06, I 373; 2θ 55.76, I 373; 2θ 65.65, I 118; 2θ 74.41, I 79; 2θ 76.45, I 73

=====

The following is a computed XRD peak list of BaMg6Co. It was derived from a cell relaxed with GGA-PBE, using Cu Kα, 1.54184 Å.

Crystal structure
```
8
Lattice="4.9837 0.0000 0.0000 0.0000 2.9748 6.8744 0.0000 -2.9748 6.8744" Properties=species:S:1:pos:R:3 pbc="T T T"
Ba 0.0000 0.0000 0.0000
Mg 0.0000 -1.4555 10.2161
Mg 0.0000 1.4555 10.2161
Mg 2.4919 -1.3961 5.1276
Mg 2.4919 0.0000 2.3607
Mg 2.4919 0.0000 8.0743
Mg 2.4919 1.3961 5.1276
Co 0.0000 0.0000 5.3956
```

Most intense lines, 2θ from 10° to 80°, by angle:
2θ 12.88, I 578; 2θ 16.23, I 425; 2θ 17.80, I 474; 2θ 24.18, I 449; 2θ 24.52, I 453; 2θ 30.46, I 1000; 2θ 31.62, I 490; 2θ 32.80, I 410; 2θ 36.01, I 963; 2θ 37.56, I 934

=====

The following is a computed XRD peak list of BaMg6Co. It was derived from a cell relaxed with GGA-PBE, using Cu Kα, 1.54184 Å.

Crystal structure
```
8
Lattice="4.4849 0.0000 0.0000 0.0000 3.0603 7.5621 0.0000 -3.0603 7.5621" Properties=species:S:1:pos:R:3 pbc="T T T"
Ba 0.0000 0.0000 0.0000
Mg 0.0000 0.0000 6.1397
Mg 0.0000 -1.5975 10.5713
Mg 0.0000 1.5975 10.5713
Mg 2.2425 -1.5429 4.8253
Mg 2.2425 1.5429 4.8253
Mg 2.2425 0.0000 9.0080
Co 2.2425 0.0000 2.6087
```

Most intense lines, 2θ from 10° to 80°, by angle:
2θ 15.62, I 1000; 2θ 23.06, I 609; 2θ 25.31, I 407; 2θ 30.41, I 910; 2θ 30.93, I 419; 2θ 31.54, I 418; 2θ 33.03, I 498; 2θ 37.51, I 771; 2θ 40.22, I 324; 2θ 52.52, I 289

=====

The following is a computed XRD peak list of BaCoN. It was derived from a cell relaxed with GGA-PBE, using Cu Kα, 1.54184 Å.

Crystal structure
```
60
Lattice="9.7089 0.0000 0.0000 0.0000 23.6204 0.0000 0.0000 0.0000 5.4745" Properties=species:S:1:pos:R:3 pbc="T T T"
Ba 0.0180 5.9051 0.0297
Ba 1.5428 12.9575 2.7014
Ba 1.5428 22.4731 2.7014
Ba 1.6693 3.5670 2.5174
Ba 1.6693 8.2432 2.5174
Ba 3.1851 15.3772 5.2547
Ba 3.1851 20.0534 5.2547
Ba 3.3116 1.1473 5.4387
Ba 3.3116 10.6629 5.4387
Ba 4.8364 17.7153 2.7669
Ba 4.8724 5.9051 2.7075
Ba 6.3972 12.9575 0.0358
Ba 6.3972 22.4731 0.0358
Ba 6.5237 3.5670 0.2198
Ba 6.5237 8.2432 0.2198
Ba 8.0395 15.3772 2.9571
Ba 8.0395 20.0534 2.9571
Ba 8.1661 1.1473 2.7731
Ba 8.1661 10.6629 2.7731
Ba 9.6909 17.7153 5.4448
Co 0.0000 0.0000 0.0000
Co 0.0000 11.8102 0.0000
Co 0.0662 14.2313 0.2304
Co 0.0662 21.1993 0.2304
Co 1.4610 16.4854 2.5016
Co 1.4610 18.9452 2.5016
Co 3.3934 4.6752 5.2389
Co 3.3934 7.1350 5.2389
Co 4.7882 2.4211 2.9677
Co 4.7882 9.3891 2.9677
Co 4.8544 0.0000 2.7372
Co 4.8544 11.8102 2.7372
Co 4.9206 14.2313 2.5068
Co 4.9206 21.1993 2.5068
Co 6.3155 16.4854 0.2356
Co 6.3155 18.9452 0.2356
Co 8.2478 4.6752 2.9729
Co 8.2478 7.1350 2.9729
Co 9.6427 2.4211 5.2441
Co 9.6427 9.3891 5.2441
N 0.6828 1.3521 0.9977
N 0.6828 10.4580 0.9977
N 0.7645 15.3407 1.3790
N 0.7645 20.0899 1.3790
N 2.1678 17.7153 3.6276
N 2.6866 5.9051 0.8904
N 4.0899 3.5305 4.1163
N 4.0899 8.2797 4.1163
N 4.1716 13.1623 3.7349
N 4.1716 22.2682 3.7349
N 5.5372 1.3521 1.7396
N 5.5372 10.4580 1.7396
N 5.6190 15.3407 1.3582
N 5.6190 20.0899 1.3582
N 7.0222 17.7153 4.5841
N 7.5410 5.9051 1.8468
N 8.9443 3.5305 4.0954
N 8.9443 8.2797 4.0954
N 9.0260 13.1623 4.4768
N 9.0260 22.2682 4.4768
```

Most intense lines, 2θ from 10° to 80°, by angle:
2θ 26.32, I 304; 2θ 26.56, I 749; 2θ 29.42, I 182; 2θ 32.13, I 1000; 2θ 32.72, I 381; 2θ 35.77, I 230; 2θ 41.84, I 132; 2θ 42.48, I 241; 2θ 58.02, I 145; 2θ 67.21, I 120

=====

The following is a computed XRD peak list of Ba3Co3N5. It was derived from a cell relaxed with GGA-PBE, using Cu Kα, 1.54184 Å.

Crystal structure
```
22
Lattice="6.3670 0.0000 0.0000 1.4797 7.6936 0.0000 2.8637 2.6571 7.6667" Properties=species:S:1:pos:R:3 pbc="T T T"
Ba 1.2694 2.3786 2.0791
Ba 3.7916 5.7593 2.7630
Ba 6.1444 9.4651 6.8058
Ba 4.5661 0.8857 0.8609
Ba 6.9189 4.5915 4.9037
Ba 9.4411 7.9722 5.5876
Co 3.6772 4.7321 6.2654
Co 5.4433 6.3333 7.0830
Co 4.3441 2.5606 3.6291
Co 6.3664 7.7902 4.0376
Co 5.2671 4.0175 0.5837
Co 7.0332 5.6187 1.4013
N 2.0132 4.7535 0.6789
N 3.5814 3.7527 4.8114
N 5.2083 4.5191 7.2467
N 4.8366 8.6351 3.3380
N 5.9603 7.0132 5.5620
N 4.7501 3.3376 2.1047
N 5.8738 1.7157 4.3287
N 5.5022 5.8317 0.4200
N 7.1290 6.5981 2.8552
N 8.6973 5.5973 6.9878
```

Most intense lines, 2θ from 10° to 80°, by angle:
2θ 27.12, I 216; 2θ 27.73, I 298; 2θ 28.74, I 687; 2θ 30.50, I 1000; 2θ 31.12, I 899; 2θ 31.43, I 529; 2θ 32.20, I 291; 2θ 33.23, I 206; 2θ 35.93, I 209; 2θ 36.83, I 220